Computed powder diffractogram of Cs2ZnCoCl6 for Cu Kα X-rays, from a crystal structure in Alexandria, relaxed with GGA-PBE.
Intensities are scaled so that the largest is 1000.

Main lines, low angle first (10° ≤ 2θ ≤ 90°):
d (Å), intensity
3.749, 1000
3.654, 443
3.034, 549
2.584, 586
2.127, 399
1.874, 365

Structural model:
```
Cs2ZnCoCl6
1.0
-3.6537 3.6537 5.4468
3.6537 -3.6537 5.4468
3.6537 3.6537 -5.4468
Cs Zn Co Cl
2 1 1 6
direct
0.2500 0.7500 0.5000
0.7500 0.2500 0.5000
0.0000 0.0000 0.0000
0.5000 0.5000 0.0000
0.2025 0.2025 0.0000
0.2740 0.2740 0.5480
0.2740 0.7260 0.0000
0.7260 0.2740 0.0000
0.7260 0.7260 0.4520
0.7975 0.7975 0.0000
```